# 1
Structure and theoretical X-ray diffraction stick pattern of Rb2SbBr6 (a GGA-PBE-relaxed structure; a wavelength of 1.5418 Å).
Neutral-atom scattering factors, no anomalous dispersion.

Top 6 peaks for 15° ≤ 2θ ≤ 90°, by angle:
2θ (°)  I_rel  hkl
28.1  950  2 2 2
32.5  1000  4 0 0
46.7  710  4 4 0
55.3  402  6 2 2
58.0  244  4 4 4
77.5  313  8 4 0

Cell and atoms:
```
data_Rb2SbBr6
_chemical_formula_sum 'Rb8 Sb4 Br24'
_space_group_name_H-M_alt 'F m -3 m'
_space_group_IT_number 225
_space_group_name_Hall '-F 4 2 3'
_cell_length_a 11.0125
_cell_length_b 11.0125
_cell_length_c 11.0125
_cell_angle_alpha 90.00
_cell_angle_beta 90.00
_cell_angle_gamma 90.00
loop_
_atom_site_label
_atom_site_type_symbol
_atom_site_fract_x
_atom_site_fract_y
_atom_site_fract_z
Rb1 Rb 0.2500 0.2500 0.2500
Sb1 Sb 0.0000 0.0000 0.0000
Br1 Br 0.0000 0.0000 0.2460
```


# 2
Structure and theoretical X-ray diffraction stick pattern of Br2Cl3 (a GGA-PBE-relaxed structure; a wavelength of 1.5418 Å).
Neutral-atom scattering factors, no anomalous dispersion.

Top 6 peaks for 15° ≤ 2θ ≤ 90°, by angle:
2θ (°)  I_rel  hkl
20.4  731  1 1 0
20.9  1000  0 1 2
26.0  591  0 0 3
36.1  466  1 2 2
41.5  501  2 2 0
49.7  529  2 2 3

Cell and atoms:
```
data_Br2Cl3
_chemical_formula_sum 'Br6 Cl9'
_space_group_name_H-M_alt 'R -3 m'
_space_group_IT_number 166
_space_group_name_Hall '-R 3 2"'
_cell_length_a 8.6971
_cell_length_b 8.6971
_cell_length_c 10.2792
_cell_angle_alpha 90.00
_cell_angle_beta 90.00
_cell_angle_gamma 120.00
loop_
_atom_site_label
_atom_site_type_symbol
_atom_site_fract_x
_atom_site_fract_y
_atom_site_fract_z
Br1 Br 0.0000 0.0000 0.1859
Cl1 Cl 0.0000 0.5000 0.5000
```


# 3
Structure and theoretical X-ray diffraction stick pattern of LaF3 (a GGA-PBE-relaxed structure; a wavelength of 1.5418 Å).
Neutral-atom scattering factors, no anomalous dispersion.

Top 6 peaks for 15° ≤ 2θ ≤ 90°, by angle:
2θ (°)  I_rel  hkl
25.4  1000  0 1 1
27.0  787  1 1 0
28.6  631  1 0 1
44.7  958  1 2 1
47.8  431  1 1 2
50.7  312  2 1 1

Cell and atoms:
```
data_LaF3
_chemical_formula_sum 'La2 F6'
_space_group_name_H-M_alt 'P m m n'
_space_group_IT_number 59
_cell_length_a 4.1987
_cell_length_b 5.3325
_cell_length_c 4.6639
_cell_angle_alpha 90.00
_cell_angle_beta 90.00
_cell_angle_gamma 90.00
loop_
_space_group_symop_operation_xyz
'x,y,z'
'-x,-y,-z'
'-x+1/2,-y+1/2,z'
'x+1/2,y+1/2,-z'
'x+1/2,-y,-z'
'-x+1/2,y,z'
'-x,y+1/2,-z'
'x,-y+1/2,z'
loop_
_atom_site_label
_atom_site_type_symbol
_atom_site_fract_x
_atom_site_fract_y
_atom_site_fract_z
La1 La 0.2500 0.2500 0.2245
F1 F 0.2500 0.0015 0.6717
F2 F 0.2500 0.7500 0.1121
```


# 4
Structure and theoretical X-ray diffraction stick pattern of KNdTe2 (a GGA-PBE-relaxed structure; a wavelength of 1.5418 Å).
Neutral-atom scattering factors, no anomalous dispersion.

Top 6 peaks for 15° ≤ 2θ ≤ 90°, by angle:
2θ (°)  I_rel  hkl
26.5  1000  1 0 4
33.8  153  1 0 7
36.7  359  0 1 8
39.0  373  1 1 0
47.7  196  0 2 4
63.2  166  2 1 4

Cell and atoms:
```
data_KNdTe2
_chemical_formula_sum 'K3 Nd3 Te6'
_space_group_name_H-M_alt 'R -3 m'
_space_group_IT_number 166
_space_group_name_Hall '-R 3 2"'
_cell_length_a 4.6237
_cell_length_b 4.6237
_cell_length_c 24.8102
_cell_angle_alpha 90.00
_cell_angle_beta 90.00
_cell_angle_gamma 120.00
loop_
_atom_site_label
_atom_site_type_symbol
_atom_site_fract_x
_atom_site_fract_y
_atom_site_fract_z
K1 K 0.0000 0.0000 0.0000
Nd1 Nd 0.0000 0.0000 0.5000
Te1 Te 0.0000 0.0000 0.2381
```


# 5
Structure and theoretical X-ray diffraction stick pattern of SrC2S2N2O3 (a GGA-PBE-relaxed structure; a wavelength of 1.5418 Å).
Neutral-atom scattering factors, no anomalous dispersion.

Top 6 peaks for 15° ≤ 2θ ≤ 90°, by angle:
2θ (°)  I_rel  hkl
17.8  676  0 1 2
23.2  888  1 0 -4
25.0  446  1 1 2
26.3  1000  2 1 -2
27.9  700  0 2 2
37.2  479  2 2 -4

Cell and atoms:
```
data_SrC2S2N2O3
_chemical_formula_sum 'Sr4 C8 S8 N8 O12'
_space_group_name_H-M_alt 'P 1 21/c 1'
_space_group_IT_number 14
_cell_length_a 7.6938
_cell_length_b 7.2267
_cell_length_c 15.3361
_cell_angle_alpha 90.00
_cell_angle_beta 115.67
_cell_angle_gamma 90.00
loop_
_space_group_symop_operation_xyz
'x,y,z'
'-x,-y,-z'
'-x,y+1/2,-z+1/2'
'x,-y+1/2,z+1/2'
loop_
_atom_site_label
_atom_site_type_symbol
_atom_site_fract_x
_atom_site_fract_y
_atom_site_fract_z
Sr1 Sr 0.1324 0.2369 0.0549
C1 C 0.0793 0.5849 0.1867
C2 C 0.3685 0.6535 0.5354
S1 S 0.1843 0.6259 0.3014
S2 S 0.3619 0.5265 0.8236
N1 N 0.0011 0.5489 0.1023
N2 N 0.2156 0.5963 0.5283
O1 O 0.2713 0.0815 0.2344
O2 O 0.4453 0.0959 0.6576
O3 O 0.4797 0.2132 0.9586
```


# 6
Structure and theoretical X-ray diffraction stick pattern of GaAgSnSe4 (a GGA-PBE-relaxed structure; a wavelength of 1.5418 Å).
Neutral-atom scattering factors, no anomalous dispersion.

Top 6 peaks for 15° ≤ 2θ ≤ 90°, by angle:
2θ (°)  I_rel  hkl
16.8  167  1 0 1
26.5  1000  1 1 2
42.3  268  2 2 0
44.8  464  2 0 4
50.6  310  3 1 2
79.1  152  4 2 4

Cell and atoms:
```
data_GaAgSnSe4
_chemical_formula_sum 'Ga2 Ag2 Sn2 Se8'
_space_group_name_H-M_alt 'I -4'
_space_group_IT_number 82
_cell_length_a 6.0426
_cell_length_b 6.0426
_cell_length_c 10.8997
_cell_angle_alpha 90.00
_cell_angle_beta 90.00
_cell_angle_gamma 90.00
loop_
_space_group_symop_operation_xyz
'x,y,z'
'y,-x,-z'
'-x,-y,z'
'-y,x,-z'
'x+1/2,y+1/2,z+1/2'
'y+1/2,-x+1/2,-z+1/2'
'-x+1/2,-y+1/2,z+1/2'
'-y+1/2,x+1/2,-z+1/2'
loop_
_atom_site_label
_atom_site_type_symbol
_atom_site_fract_x
_atom_site_fract_y
_atom_site_fract_z
Ga1 Ga 0.0000 0.0000 0.0000
Ag1 Ag 0.0000 0.0000 0.5000
Sn1 Sn 0.0000 0.5000 0.2500
Se1 Se 0.2215 0.2444 0.8686
```


# 7
Structure and theoretical X-ray diffraction stick pattern of DyBRh3 (a GGA-PBE-relaxed structure; a wavelength of 1.5418 Å).
Neutral-atom scattering factors, no anomalous dispersion.

Top 6 peaks for 15° ≤ 2θ ≤ 90°, by angle:
2θ (°)  I_rel  hkl
30.0  46  1 1 0
37.0  1000  1 1 1
43.0  523  2 0 0
62.4  340  2 2 0
74.8  375  3 1 1
78.8  115  2 2 2

Cell and atoms:
```
data_DyBRh3
_chemical_formula_sum 'Dy1 B1 Rh3'
_space_group_name_H-M_alt 'P m -3 m'
_space_group_IT_number 221
_space_group_name_Hall '-P 4 2 3'
_cell_length_a 4.2075
_cell_length_b 4.2075
_cell_length_c 4.2075
_cell_angle_alpha 90.00
_cell_angle_beta 90.00
_cell_angle_gamma 90.00
loop_
_atom_site_label
_atom_site_type_symbol
_atom_site_fract_x
_atom_site_fract_y
_atom_site_fract_z
Dy1 Dy 0.0000 0.0000 0.0000
B1 B 0.5000 0.5000 0.5000
Rh1 Rh 0.0000 0.5000 0.5000
```


# 8
Structure and theoretical X-ray diffraction stick pattern of Fe2Ni9N8 (a GGA-PBE-relaxed structure; a wavelength of 1.5418 Å).
Neutral-atom scattering factors, no anomalous dispersion.

Top 6 peaks for 15° ≤ 2θ ≤ 90°, by angle:
2θ (°)  I_rel  hkl
30.4  530  6 0 0
34.9  656  3 1 1
36.7  680  5 1 0
38.6  431  1 1 2
40.4  1000  5 1 -2
54.0  552  0 2 0

Cell and atoms:
```
data_Fe2Ni9N8
_chemical_formula_sum 'Fe4 Ni18 N16'
_space_group_name_H-M_alt 'C 1 2/m 1'
_space_group_IT_number 12
_cell_length_a 18.5563
_cell_length_b 3.3981
_cell_length_c 7.2592
_cell_angle_alpha 90.00
_cell_angle_beta 107.76
_cell_angle_gamma 90.00
loop_
_space_group_symop_operation_xyz
'x,y,z'
'-x,-y,-z'
'-x,y,-z'
'x,-y,z'
'x+1/2,y+1/2,z'
'-x+1/2,-y+1/2,-z'
'-x+1/2,y+1/2,-z'
'x+1/2,-y+1/2,z'
loop_
_atom_site_label
_atom_site_type_symbol
_atom_site_fract_x
_atom_site_fract_y
_atom_site_fract_z
Fe1 Fe 0.1848 0.0000 0.2010
Ni1 Ni 0.0000 0.5000 0.5000
Ni2 Ni 0.0247 0.0000 0.8443
Ni3 Ni 0.1009 0.5000 0.3153
Ni4 Ni 0.1420 0.5000 0.8653
Ni5 Ni 0.1930 0.0000 0.6522
N1 N 0.0050 0.5000 0.7502
N2 N 0.1294 0.0000 0.9545
N3 N 0.1432 0.0000 0.3907
N4 N 0.2174 0.5000 0.7479
```


# 9
Structure and theoretical X-ray diffraction stick pattern of MgSn2O4 (a GGA-PBE-relaxed structure; a wavelength of 1.5418 Å).
Neutral-atom scattering factors, no anomalous dispersion.

Top 6 peaks for 15° ≤ 2θ ≤ 90°, by angle:
2θ (°)  I_rel  hkl
26.1  715  2 0 -4
27.9  516  3 1 0
31.1  583  2 0 5
32.2  982  0 2 3
32.8  1000  4 0 1
54.6  486  2 2 8

Cell and atoms:
```
data_MgSn2O4
_chemical_formula_sum 'Mg12 Sn24 O48'
_space_group_name_H-M_alt 'C 1 m 1'
_space_group_IT_number 8
_cell_length_a 11.0941
_cell_length_b 6.3770
_cell_length_c 17.0804
_cell_angle_alpha 90.00
_cell_angle_beta 91.30
_cell_angle_gamma 90.00
loop_
_space_group_symop_operation_xyz
'x,y,z'
'x,-y,z'
'x+1/2,y+1/2,z'
'x+1/2,-y+1/2,z'
loop_
_atom_site_label
_atom_site_type_symbol
_atom_site_fract_x
_atom_site_fract_y
_atom_site_fract_z
Mg1 Mg 0.0000 0.0000 0.0000
Mg2 Mg 0.0030 0.5000 0.5064
Mg3 Mg 0.1670 0.0000 0.8364
Mg4 Mg 0.1726 0.5000 0.3445
Mg5 Mg 0.3345 0.0000 0.6704
Mg6 Mg 0.4927 0.0000 0.1212
Sn1 Sn 0.0016 0.5000 0.8769
Sn2 Sn 0.0843 0.2499 0.6708
Sn3 Sn 0.1676 0.0000 0.4618
Sn4 Sn 0.1778 0.0000 0.2205
Sn5 Sn 0.2461 0.2465 0.0031
Sn6 Sn 0.3302 0.5000 0.7972
Sn7 Sn 0.3368 0.5000 0.1639
Sn8 Sn 0.3381 0.5000 0.5445
Sn9 Sn 0.4232 0.2459 0.3406
O1 O 0.0014 0.0000 0.2783
O2 O 0.0033 0.5000 0.7293
O3 O 0.0191 0.0000 0.7429
O4 O 0.0740 0.2826 0.4154
O5 O 0.0971 0.2249 0.9248
O6 O 0.1481 0.5000 0.5994
O7 O 0.1634 0.0000 0.0596
O8 O 0.1654 0.0000 0.6124
O9 O 0.1656 0.5000 0.0731
O10 O 0.2373 0.2272 0.7459
O11 O 0.2564 0.2534 0.2837
O12 O 0.3120 0.0000 0.9302
O13 O 0.3282 0.5000 0.9510
O14 O 0.3478 0.5000 0.3998
O15 O 0.3628 0.0000 0.4149
O16 O 0.4057 0.2547 0.0761
O17 O 0.4322 0.2263 0.5956
O18 O 0.4939 0.0000 0.2654
```


# 10
Structure and theoretical X-ray diffraction stick pattern of Sr2Mg (a GGA-PBE-relaxed structure; a wavelength of 1.5418 Å).
Neutral-atom scattering factors, no anomalous dispersion.

Top 6 peaks for 15° ≤ 2θ ≤ 90°, by angle:
2θ (°)  I_rel  hkl
25.9  289  1 1 0
28.0  247  0 0 6
29.5  1000  1 1 3
38.5  201  1 1 6
50.5  218  1 1 9
54.5  224  3 0 6

Cell and atoms:
```
data_Sr2Mg
_chemical_formula_sum 'Sr12 Mg6'
_space_group_name_H-M_alt 'R 3 2'
_space_group_IT_number 155
_space_group_name_Hall 'R 3 2"'
_cell_length_a 6.8775
_cell_length_b 6.8775
_cell_length_c 19.1063
_cell_angle_alpha 90.00
_cell_angle_beta 90.00
_cell_angle_gamma 120.00
loop_
_atom_site_label
_atom_site_type_symbol
_atom_site_fract_x
_atom_site_fract_y
_atom_site_fract_z
Sr1 Sr 0.0000 0.0000 0.0000
Sr2 Sr 0.0000 0.6725 0.5000
Mg1 Mg 0.0000 0.0000 0.3336
```


# 11
Structure and theoretical X-ray diffraction stick pattern of Nd2Mn3FeSi4 (a GGA-PBE-relaxed structure; a wavelength of 1.5418 Å).
Neutral-atom scattering factors, no anomalous dispersion.

Top 6 peaks for 15° ≤ 2θ ≤ 90°, by angle:
2θ (°)  I_rel  hkl
24.0  464  1 0 1
34.3  795  0 0 4
36.4  1000  1 1 2
45.9  383  2 0 0
49.3  219  1 0 5
58.5  407  2 0 4

Cell and atoms:
```
data_Nd2Mn3FeSi4
_chemical_formula_sum 'Nd2 Mn3 Fe1 Si4'
_space_group_name_H-M_alt 'P -4 m 2'
_space_group_IT_number 115
_cell_length_a 3.9572
_cell_length_b 3.9572
_cell_length_c 10.4473
_cell_angle_alpha 90.00
_cell_angle_beta 90.00
_cell_angle_gamma 90.00
loop_
_space_group_symop_operation_xyz
'x,y,z'
'y,-x,-z'
'-x,-y,z'
'-y,x,-z'
'-x,y,z'
'-y,-x,-z'
'x,-y,z'
'y,x,-z'
loop_
_atom_site_label
_atom_site_type_symbol
_atom_site_fract_x
_atom_site_fract_y
_atom_site_fract_z
Nd1 Nd 0.0000 0.5000 0.2487
Mn1 Mn 0.0000 0.0000 0.0000
Mn2 Mn 0.0000 0.0000 0.5000
Mn3 Mn 0.5000 0.5000 0.5000
Fe1 Fe 0.5000 0.5000 0.0000
Si1 Si 0.0000 0.5000 0.6256
Si2 Si 0.0000 0.5000 0.8782
```


# 12
Structure and theoretical X-ray diffraction stick pattern of PRu2 (a GGA-PBE-relaxed structure; a wavelength of 1.5418 Å).
Neutral-atom scattering factors, no anomalous dispersion.

Top 6 peaks for 15° ≤ 2θ ≤ 90°, by angle:
2θ (°)  I_rel  hkl
37.7  1000  1 1 2
38.3  305  2 1 0
40.4  438  2 1 1
41.5  184  1 0 3
46.7  327  0 2 0
48.0  225  3 0 1

Cell and atoms:
```
data_PRu2
_chemical_formula_sum 'P4 Ru8'
_space_group_name_H-M_alt 'P n m a'
_space_group_IT_number 62
_cell_length_a 5.9059
_cell_length_b 3.8939
_cell_length_c 7.0153
_cell_angle_alpha 90.00
_cell_angle_beta 90.00
_cell_angle_gamma 90.00
loop_
_space_group_symop_operation_xyz
'x,y,z'
'-x,-y,-z'
'-x+1/2,-y,z+1/2'
'x+1/2,y,-z+1/2'
'x+1/2,-y+1/2,-z+1/2'
'-x+1/2,y+1/2,z+1/2'
'-x,y+1/2,-z'
'x,-y+1/2,z'
loop_
_atom_site_label
_atom_site_type_symbol
_atom_site_fract_x
_atom_site_fract_y
_atom_site_fract_z
P1 P 0.2487 0.2500 0.1106
Ru1 Ru 0.0153 0.7500 0.3477
Ru2 Ru 0.1395 0.7500 0.9222
```